# 1
The following is a simulated XRD peak list of Ca3CuHg2. It was derived from a crystal structure in Alexandria, relaxed with GGA-PBE, using Cu Kα (λ = 1.5418 Å).

Largest 12 diffraction maxima, sorted by position, 10° ≤ 2θ ≤ 80°:
| d_spacing | intensity |
| --- | --- |
| 7.942 | 16 |
| 5.052 | 10 |
| 3.756 | 40 |
| 3.681 | 19 |
| 2.664 | 26 |
| 2.647 | 25 |
| 2.629 | 100 |
| 1.878 | 18 |
| 1.674 | 14 |
| 1.531 | 19 |
| 1.525 | 20 |
| 1.314 | 11 |

Atomic structure:
Unit cell a=8.3774 b=8.3774 c=3.6812 alpha=90.00 beta=90.00 gamma=142.91
Atoms (fractional coordinates):
Ca1 0.0000 0.0000 0.0000
Ca2 0.3407 0.6593 0.0000
Ca3 0.6593 0.3407 0.0000
Cu1 0.5000 0.5000 0.5000
Hg1 0.1688 0.8312 0.5000
Hg2 0.8312 0.1688 0.5000

---

# 2
The following is a simulated XRD peak list of Nd2Si4Rh3. It was derived from a crystal structure in Alexandria, relaxed with GGA-PBE, using Cu Kα (λ = 1.5418 Å).

Largest 12 diffraction maxima, sorted by position, 10° ≤ 2θ ≤ 80°:
| d_spacing | intensity |
| --- | --- |
| 5.950 | 73 |
| 3.061 | 96 |
| 2.544 | 36 |
| 2.455 | 51 |
| 2.405 | 78 |
| 2.296 | 100 |
| 2.230 | 42 |
| 2.133 | 23 |
| 2.023 | 35 |
| 1.487 | 34 |
| 1.408 | 25 |
| 1.265 | 23 |

Atomic structure:
Unit cell a=7.7143 b=6.5589 c=5.6319 alpha=78.11 beta=56.30 gamma=45.59
Atoms (fractional coordinates):
Nd1 0.1357 0.1357 0.8643
Nd2 0.8643 0.8643 0.1357
Si1 0.1597 0.5237 0.4763
Si2 0.4763 0.8403 0.1597
Si3 0.5237 0.1597 0.8403
Si4 0.8403 0.4763 0.5237
Rh1 0.0000 0.0000 0.5000
Rh2 0.5000 0.5000 0.0000
Rh3 0.5000 0.5000 0.5000

---

# 3
The following is a simulated XRD peak list of NdSi2IrRh. It was derived from a crystal structure in Alexandria, relaxed with GGA-PBE, using Cu Kα (λ = 1.5418 Å).

Largest 12 diffraction maxima, sorted by position, 10° ≤ 2θ ≤ 80°:
| d_spacing | intensity |
| --- | --- |
| 5.098 | 17 |
| 3.813 | 26 |
| 2.620 | 24 |
| 2.549 | 19 |
| 2.526 | 100 |
| 2.056 | 35 |
| 1.917 | 10 |
| 1.617 | 11 |
| 1.600 | 19 |
| 1.467 | 19 |
| 1.454 | 11 |
| 1.260 | 22 |

Atomic structure:
Unit cell a=5.8693 b=5.8693 c=5.8693 alpha=138.99 beta=138.99 gamma=59.39
Atoms (fractional coordinates):
Nd1 0.0000 0.0000 0.0000
Si1 0.3754 0.3754 0.0000
Si2 0.6246 0.6246 0.0000
Ir1 0.2500 0.7500 0.5000
Rh1 0.7500 0.2500 0.5000